1.
Diffraction record for Li2PaCu9. The X-ray powder pattern is simulated, not measured: it uses DFT lattice parameters and positions (GGA-PBE) and Cu Kα (weighted mean of Kα1 and Kα2).
Peak positions follow from Bragg's law for the DFT cell and can differ from measured ones.

Most intense lines, 2θ from 15° to 90°, low angle first:
25.4 deg, intensity 40; 27.7 deg, intensity 16; 33.1 deg, intensity 19; 36.3 deg, intensity 17; 38.0 deg, intensity 28; 42.3 deg, intensity 25; 42.8 deg, intensity 100; 44.6 deg, intensity 25; 49.9 deg, intensity 16; 69.7 deg, intensity 19

Structural model:
```
Li2PaCu9
1.0
2.476 1.430 8.131
-2.476 1.430 8.131
0.000 -2.860 8.131
Li Pa Cu
2 1 9
Direct
0.150 0.150 0.150
0.850 0.850 0.850
0.000 0.000 0.000
0.084 0.585 0.585
0.332 0.332 0.332
0.415 0.415 0.916
0.415 0.916 0.415
0.500 0.500 0.500
0.585 0.084 0.585
0.585 0.585 0.084
0.668 0.668 0.668
0.916 0.415 0.415
```

2.
Diffraction record for PrCoH8Ir2. The X-ray powder pattern is simulated, not measured: it uses DFT lattice parameters and positions (GGA-PBE) and Cu Kα (weighted mean of Kα1 and Kα2).
Peak positions follow from Bragg's law for the DFT cell and can differ from measured ones.

Most intense lines, 2θ from 15° to 90°, low angle first:
17.0 deg, intensity 22; 22.7 deg, intensity 31; 31.8 deg, intensity 85; 36.2 deg, intensity 66; 38.5 deg, intensity 100; 46.3 deg, intensity 18; 50.7 deg, intensity 22; 53.9 deg, intensity 21; 65.4 deg, intensity 21; 68.2 deg, intensity 22

Structural model:
```
PrCoH8Ir2
1.0
2.339 1.350 5.225
-2.339 1.350 5.225
0.000 -2.701 5.225
Pr Co H Ir
1 1 8 2
Direct
0.000 0.000 0.000
0.500 0.500 0.500
0.147 0.557 0.557
0.315 0.315 0.315
0.443 0.443 0.853
0.443 0.853 0.443
0.557 0.147 0.557
0.557 0.557 0.147
0.685 0.685 0.685
0.853 0.443 0.443
0.211 0.211 0.211
0.789 0.789 0.789
```